(1)
Diffraction record for La2Nb2N2O5. The powder XRD pattern is calculated, not measured: it uses a cell relaxed with PBE and Cu Kα (λ = 1.5418 Å).
Peak positions follow from Bragg's law for the DFT cell and can differ from measured ones.

Cell and atoms:
a = 5.7343 Å, b = 8.0221 Å, c = 13.7704 Å
α = 98.40°, β = 90.47°, γ = 90.04°
Positions (direct):
La1 0.0000 0.0000 0.0000
La2 0.0097 0.1252 0.4715
La3 0.0706 0.6466 0.5184
La4 0.4879 0.0582 0.2112
La5 0.5011 0.5648 0.1832
La6 0.5201 0.4496 0.6962
La7 0.5816 0.9174 0.6570
La8 0.9873 0.5166 0.9713
Nb1 0.0044 0.3205 0.2066
Nb2 0.0286 0.1983 0.7637
Nb3 0.0317 0.7094 0.7639
Nb4 0.4958 0.7536 0.9713
Nb5 0.5005 0.2569 0.9707
Nb6 0.5189 0.3820 0.4128
Nb7 0.5313 0.8548 0.4101
Nb8 0.9790 0.8074 0.2055
N1 0.0542 0.5553 0.1941
N2 0.1809 0.7591 0.9094
N3 0.2874 0.7013 0.6787
N4 0.4310 0.6063 0.3917
N5 0.6873 0.8104 0.2731
N6 0.7710 0.7463 0.0698
N7 0.7868 0.8717 0.4981
N8 0.7981 0.6548 0.6616
O1 0.0815 0.4499 0.7850
O2 0.1815 0.2156 0.9086
O3 0.1927 0.9096 0.3108
O4 0.1977 0.2832 0.3155
O5 0.2666 0.2440 0.1073
O6 0.2809 0.8328 0.1072
O7 0.2958 0.9190 0.5162
O8 0.3110 0.1581 0.7020
O9 0.3197 0.3700 0.5261
O10 0.4076 0.5062 0.0009
O11 0.5568 0.0121 0.9755
O12 0.5856 0.1126 0.3903
O13 0.6819 0.3468 0.2663
O14 0.6852 0.6563 0.8646
O15 0.6903 0.2849 0.8630
O16 0.7595 0.3179 0.0672
O17 0.8146 0.4034 0.4747
O18 0.8230 0.1970 0.6517
O19 0.9090 0.0598 0.1731
O20 0.9235 0.9664 0.7854

Most intense lines, 2θ = 10–90°, in order of falling intensity:
- 28.9°, I 100
- 26.2°, I 63
- 31.2°, I 61
- 31.9°, I 56
- 31.7°, I 49
- 45.2°, I 48
- 28.8°, I 39
- 27.3°, I 37
- 56.0°, I 32
- 30.4°, I 21
- 32.0°, I 20
- 41.3°, I 19

(2)
Diffraction record for In3Au. The powder XRD pattern is calculated, not measured: it uses a cell relaxed with PBE and Cu Kα (λ = 1.5418 Å).
Peak positions follow from Bragg's law for the DFT cell and can differ from measured ones.

Cell and atoms:
a = 5.8026 Å, b = 5.8026 Å, c = 5.8026 Å
α = 134.65°, β = 134.65°, γ = 66.08°
Positions (direct):
In1 0.0000 0.0000 0.0000
In2 0.2500 0.7500 0.5000
In3 0.7500 0.2500 0.5000
Au1 0.5000 0.5000 0.0000

Most intense lines, 2θ = 10–90°, in order of falling intensity:
- 33.8°, I 100
- 40.3°, I 31
- 69.1°, I 24
- 55.8°, I 23
- 37.0°, I 20
- 64.6°, I 15
- 71.1°, I 12
- 58.3°, I 10
- 21.9°, I 6
- 87.1°, I 3
- 18.2°, I 2
- 78.7°, I 2

(3)
Diffraction record for YB2Ru3. The powder XRD pattern is calculated, not measured: it uses a cell relaxed with PBE and Cu Kα (λ = 1.5418 Å).
Peak positions follow from Bragg's law for the DFT cell and can differ from measured ones.

Cell and atoms:
a = 5.5160 Å, b = 5.5160 Å, c = 3.0374 Å
α = 90.00°, β = 90.00°, γ = 120.00°
Positions (direct):
Y1 0.0000 0.0000 0.0000
B1 0.3333 0.6667 0.0000
B2 0.6667 0.3333 0.0000
Ru1 0.0000 0.5000 0.5000
Ru2 0.5000 0.0000 0.5000
Ru3 0.5000 0.5000 0.5000

Most intense lines, 2θ = 10–90°, in order of falling intensity:
- 37.7°, I 100
- 35.0°, I 55
- 44.4°, I 35
- 48.5°, I 32
- 74.0°, I 26
- 59.6°, I 23
- 68.0°, I 19
- 29.4°, I 17
- 80.4°, I 11
- 66.3°, I 10
- 78.8°, I 10
- 61.0°, I 9

(4)
Diffraction record for KCaCeBiO6. The powder XRD pattern is calculated, not measured: it uses a cell relaxed with PBE and Cu Kα (λ = 1.5418 Å).
Peak positions follow from Bragg's law for the DFT cell and can differ from measured ones.

Cell and atoms:
a = 8.4565 Å, b = 8.5284 Å, c = 8.5492 Å
α = 90.00°, β = 90.00°, γ = 90.00°
Positions (direct):
K1 0.2500 0.2500 0.2500
K2 0.2500 0.7500 0.7500
K3 0.7500 0.2500 0.2500
K4 0.7500 0.7500 0.7500
Ca1 0.2500 0.2500 0.7500
Ca2 0.2500 0.7500 0.2500
Ca3 0.7500 0.2500 0.7500
Ca4 0.7500 0.7500 0.2500
Ce1 0.0000 0.0000 0.0000
Ce2 0.0000 0.5000 0.5000
Ce3 0.5000 0.0000 0.5000
Ce4 0.5000 0.5000 0.0000
Bi1 0.0000 0.0000 0.5000
Bi2 0.0000 0.5000 0.0000
Bi3 0.5000 0.0000 0.0000
Bi4 0.5000 0.5000 0.5000
O1 0.0362 0.2465 0.4761
O2 0.0362 0.2535 0.0239
O3 0.0540 0.0425 0.7434
O4 0.0540 0.4575 0.7566
O5 0.2435 0.5478 0.0532
O6 0.2435 0.9522 0.4468
O7 0.2565 0.5478 0.4468
O8 0.2565 0.9522 0.0532
O9 0.4460 0.0425 0.7566
O10 0.4460 0.4575 0.7434
O11 0.4638 0.2465 0.0239
O12 0.4638 0.2535 0.4761
O13 0.5362 0.7465 0.5239
O14 0.5362 0.7535 0.9761
O15 0.5540 0.5425 0.2566
O16 0.5540 0.9575 0.2434
O17 0.7435 0.0478 0.9468
O18 0.7435 0.4522 0.5532
O19 0.7565 0.0478 0.5532
O20 0.7565 0.4522 0.9468
O21 0.9460 0.5425 0.2434
O22 0.9460 0.9575 0.2566
O23 0.9638 0.7465 0.9761
O24 0.9638 0.7535 0.5239

Most intense lines, 2θ = 10–90°, in order of falling intensity:
- 29.7°, I 100
- 20.8°, I 61
- 29.6°, I 48
- 52.6°, I 46
- 21.0°, I 29
- 52.9°, I 22
- 47.6°, I 22
- 61.8°, I 16
- 42.3°, I 15
- 48.0°, I 14
- 42.4°, I 14
- 42.8°, I 14